No. 1
Diffraction record for ScInPt. The X-ray powder pattern is simulated, not measured: it uses a GGA-PBE-relaxed structure and Cu Kα (weighted mean of Kα1 and Kα2).

Largest 8 diffraction maxima, by angle, 10° ≤ 2θ ≤ 90°:
2θ 23.27, I 85.8, (1 1 0); 2θ 28.72, I 47.3, (1 0 1); 2θ 34.64, I 55.7, (1 1 1); 2θ 37.29, I 100.0, (2 0 1); 2θ 40.90, I 93.5, (3 0 0); 2θ 44.42, I 87.1, (2 1 1); 2θ 67.13, I 45.3, (3 2 1); 2θ 68.15, I 40.9, (3 0 2)

Atomic structure:
```
9
Lattice="7.644 0.000 0.000 -3.822 6.619 0.000 0.000 0.000 3.520" Properties=species:S:1:pos:R:3 pbc="T T T"
Sc -1.521 2.635 0.000
Sc 3.043 0.000 0.000
Sc 2.300 3.985 0.000
In -2.774 4.804 1.760
In 1.048 1.815 1.760
In 5.547 0.000 1.760
Pt 0.000 0.000 0.000
Pt 0.000 4.413 1.760
Pt 3.822 2.206 1.760
```

No. 2
Diffraction record for Sm5In4Pt2. The X-ray powder pattern is simulated, not measured: it uses a GGA-PBE-relaxed structure and Cu Kα (weighted mean of Kα1 and Kα2).

Largest 8 diffraction maxima, by angle, 10° ≤ 2θ ≤ 90°:
2θ 32.52, I 72.7, (1 4 1); 2θ 33.67, I 100.0, (2 2 1); 2θ 33.98, I 35.8, (3 2 0); 2θ 35.41, I 27.6, (2 3 1); 2θ 35.56, I 39.1, (1 7 0); 2θ 35.70, I 63.5, (1 5 1); 2θ 48.45, I 27.9, (0 0 2); 2θ 61.54, I 28.9, (1 7 2)

Atomic structure:
```
22
Lattice="8.255 0.000 0.000 0.000 18.562 0.000 0.000 0.000 3.758" Properties=species:S:1:pos:R:3 pbc="T T T"
Sm 0.000 0.000 0.000
Sm 0.956 7.703 0.000
Sm 2.004 4.061 0.000
Sm 2.124 13.342 0.000
Sm 3.172 16.984 0.000
Sm 4.128 9.281 0.000
Sm 5.084 1.579 0.000
Sm 6.132 5.220 0.000
Sm 6.252 14.501 0.000
Sm 7.299 10.860 0.000
In 0.607 15.792 1.879
In 1.722 10.538 1.879
In 2.406 1.257 1.879
In 3.521 6.511 1.879
In 4.734 12.051 1.879
In 5.850 17.305 1.879
In 6.533 8.024 1.879
In 7.649 2.770 1.879
Pt 0.201 5.613 1.879
Pt 3.927 14.894 1.879
Pt 4.329 3.668 1.879
Pt 8.054 12.949 1.879
```